K2NpWN4: computed powder diffractogram (Cu Kα X-rays), based on a DFT-relaxed cell (PBE, OQMD).
Intensities are scaled so that the largest is 100.

Crystal structure
```
K2NpWN4
1.0
5.9897 0.0000 0.0000
0.0000 5.9897 0.0000
0.0000 0.0000 8.6595
K Np W N
4 2 2 8
Direct
0.0000 0.0000 0.0000
0.0000 0.5000 0.2500
0.5000 0.0000 0.7500
0.5000 0.5000 0.5000
0.0000 0.5000 0.7500
0.5000 0.0000 0.2500
0.0000 0.0000 0.5000
0.5000 0.5000 0.0000
0.1356 0.7773 0.6217
0.2227 0.1356 0.3783
0.2773 0.3644 0.8783
0.3644 0.7227 0.1217
0.6356 0.2773 0.1217
0.7227 0.6356 0.8783
0.7773 0.8644 0.3783
0.8644 0.2227 0.6217
```

Most intense lines, 10° ≤ 2θ ≤ 80°, in order of rising 2θ:
2θ (°), Rel. int., hkl
18.01, 84, 1 0 1
29.50, 100, 1 1 2
29.83, 42, 2 0 0
35.07, 25, 1 2 1
52.13, 22, 2 0 4
52.75, 39, 3 1 2